(1)
SrUMnO5: theoretical powder diffractogram (Cu Kα (weighted mean of Kα1 and Kα2)), based on a crystal structure in Alexandria, relaxed with PBE+U.
Intensities are scaled so that the largest is 100.

Top 10 peaks for 2θ = 15–90°, by intensity:
two_theta  d/Å  intensity
30.45  2.935  100
23.69  3.756  84
16.17  5.482  70
27.02  3.300  47
32.70  2.738  31
49.92  1.827  26
34.21  2.621  21
38.17  2.358  20
48.41  1.880  17
18.03  4.920  17

Structural model:
Cell: 6.1534 6.1534 8.1817 Å, 105.68 105.68 106.18°
Atoms (fractional coordinates):
Sr: 0.1772 0.8228 0.7500
Sr: 0.8228 0.1772 0.2500
U: 0.5000 0.5000 0.0000
U: 0.5000 0.5000 0.5000
Mn: 0.1891 0.8109 0.2500
Mn: 0.8109 0.1891 0.7500
O: 0.1595 0.2442 0.9017
O: 0.2075 0.6113 0.4134
O: 0.2442 0.1595 0.4017
O: 0.3887 0.7925 0.0866
O: 0.4325 0.5675 0.7500
O: 0.5675 0.4325 0.2500
O: 0.6113 0.2075 0.9134
O: 0.7558 0.8405 0.5983
O: 0.7925 0.3887 0.5866
O: 0.8405 0.7558 0.0983

(2)
SrMn2V2O8: theoretical powder diffractogram (Cu Kα (weighted mean of Kα1 and Kα2)), based on a crystal structure in Alexandria, relaxed with PBE+U.
Intensities are scaled so that the largest is 100.

Top 10 peaks for 2θ = 15–90°, by intensity:
two_theta  d/Å  intensity
30.10  2.969  100
30.84  2.900  77
31.62  2.829  61
24.54  3.628  56
34.26  2.617  39
60.64  1.527  36
46.61  1.949  32
39.69  2.271  31
42.89  2.109  29
62.27  1.491  26

Structural model:
Cell: 9.9830 9.9830 9.9830 Å, 101.35 101.35 127.33°
Atoms (fractional coordinates):
Sr: 0.0000 0.0000 0.0000
Sr: 0.2500 0.7500 0.5000
Sr: 0.5000 0.5000 0.0000
Sr: 0.7500 0.2500 0.5000
Mn: 0.1349 0.1368 0.6643
Mn: 0.2206 0.3849 0.4981
Mn: 0.3868 0.8849 0.1643
Mn: 0.4725 0.4706 0.3357
Mn: 0.6349 0.9706 0.9981
Mn: 0.7206 0.2225 0.8357
Mn: 0.8868 0.7225 0.5019
Mn: 0.9725 0.6368 0.0019
V: 0.1081 0.4227 0.1558
V: 0.1727 0.5169 0.8146
V: 0.2023 0.0169 0.3442
V: 0.2669 0.9523 0.8442
V: 0.6081 0.4523 0.6854
V: 0.6727 0.8581 0.6558
V: 0.7023 0.3581 0.1854
V: 0.7669 0.9227 0.3146
O: 0.0232 0.8462 0.1735
O: 0.0962 0.7732 0.6735
O: 0.0997 0.4227 0.3265
O: 0.1312 0.9565 0.4870
O: 0.1601 0.6263 0.1566
O: 0.1624 0.5203 0.6380
O: 0.1727 0.3462 0.8230
O: 0.2065 0.8812 0.9870
O: 0.2535 0.2197 0.3434
O: 0.2703 0.1323 0.8579
O: 0.2744 0.4124 0.1421
O: 0.3763 0.7197 0.9662
O: 0.3823 0.0203 0.3579
O: 0.3941 0.3812 0.6746
O: 0.4697 0.0035 0.8434
O: 0.4695 0.6441 0.5130
O: 0.5232 0.3497 0.1770
O: 0.5962 0.9227 0.3230
O: 0.5997 0.2732 0.6770
O: 0.6312 0.1441 0.1746
O: 0.6601 0.5035 0.5338
O: 0.6624 0.0244 0.6421
O: 0.6727 0.8497 0.8265
O: 0.7065 0.7195 0.3254
O: 0.7535 0.4101 0.0338
O: 0.7703 0.9124 0.1380
O: 0.7744 0.6323 0.8620
O: 0.8763 0.9101 0.6566
O: 0.8823 0.5244 0.3620
O: 0.8941 0.2195 0.0130
O: 0.9697 0.1263 0.4662
O: 0.9695 0.4565 0.8254